Nb4VO12: calculated powder XRD pattern (Cu Kα (λ = 1.5418 Å)), based on a GGA+U-relaxed structure.
Neutral-atom scattering factors, no anomalous dispersion.

Top 10 peaks for 2θ = 10–90°, in order of rising 2θ:
2theta	intensity
22.96	50
23.30	100
31.75	44
32.07	20
33.86	16
34.00	14
34.60	14
46.91	11
47.54	10
51.79	17

Structure:
```
Nb4VO12
1.0
5.1849 0.0000 0.0000
0.0265 5.6636 0.0000
0.0688 0.6800 7.7472
Nb V O
4 1 12
Direct
0.0000 0.0000 0.0000
0.0286 0.0169 0.4730
0.4945 0.4872 0.0035
0.5312 0.4845 0.4841
0.5336 0.8907 0.7021
0.1225 0.0156 0.2420
0.2038 0.3311 0.9473
0.2588 0.7544 0.5598
0.3244 0.8560 0.9080
0.3530 0.1953 0.5771
0.4119 0.5243 0.2570
0.6106 0.5620 0.7514
0.7124 0.2255 0.0407
0.7261 0.8248 0.4687
0.8123 0.7310 0.0487
0.8442 0.0220 0.7427
0.8501 0.3353 0.4508
```